Er2FeBiO6: simulated XRD peak list (a wavelength of 1.5418 Å), based on a DFT-relaxed cell (GGA+U, Alexandria).
Intensities are scaled so that the largest is 100.

Top 10 peaks for 2θ from 10° to 90°, by intensity:
d [Å]  Position (°2θ)  I_rel
3.091  28.9  100
2.652  33.8  34
1.603  57.5  30
1.902  47.8  25
1.875  48.5  18
5.458  16.2  14
2.207  40.9  13
5.304  16.7  11
2.729  32.8  11
3.804  23.4  10

Crystal structure
```
10
Lattice="5.3045 0.0000 0.0000 0.0000 5.3045 0.0000 0.0000 0.0000 5.4579" Properties=species:S:1:pos:R:3 pbc="T T T"
Er 0.0000 2.6522 0.0000
Er 2.6522 0.0000 0.0000
Fe 0.0000 0.0000 3.3729
Bi 2.6522 2.6522 3.1281
O 0.0000 0.0000 1.4799
O 1.2667 1.2667 4.2579
O 1.2667 4.0378 4.2579
O 2.6522 2.6522 0.8555
O 4.0378 1.2667 4.2579
O 4.0378 4.0378 4.2579
```